Computed powder diffractogram
Compound: CsEr6CI12
Radiation: a wavelength of 1.5418 Å
Structure: a structure optimized by DFT (PBE)

Unit cell a=11.3075 b=11.3075 c=20.8374 alpha=90.00 beta=90.00 gamma=120.00
Space group R-3 (No. 148, hexagonal axes)
One atom of each set of equivalent atoms:
1 Cs 0.0000 0.0000 0.0000
2 Er 0.0398 0.8433 0.4314
3 C 0.0000 0.0000 0.5000
4 I 0.0439 0.8076 0.6676
5 I 0.0542 0.8092 0.1646

Principal peaks in the range 5 to 70 degrees two-theta, in order of rising 2θ:
- 2θ = 10.0°, I 436
- 2θ = 25.5°, I 157
- 2θ = 29.6°, I 1000
- 2θ = 34.2°, I 111
- 2θ = 42.3°, I 320
- 2θ = 42.4°, I 311
- 2θ = 50.1°, I 141
- 2θ = 52.5°, I 141

---

Computed powder diffractogram
Compound: CsC4S4N8O2F
Radiation: a wavelength of 1.5418 Å
Structure: a structure optimized by DFT (PBE)

Unit cell a=9.108 b=18.472 c=10.268 alpha=90.00 beta=90.00 gamma=90.00
Space group Ibam (No. 72)
One atom of each set of equivalent atoms:
1 Cs 0.000 0.000 0.250
2 C 0.101 0.216 0.000
3 C 0.146 0.447 0.000
4 S 0.185 0.119 0.500
5 S 0.245 0.143 0.000
6 N 0.125 0.200 0.119
7 N 0.198 0.428 0.113
8 O 0.105 0.334 0.500
9 F 0.000 0.500 0.000

Principal peaks in the range 5 to 70 degrees two-theta, in order of rising 2θ:
- 2θ = 9.6°, I 621
- 2θ = 10.8°, I 875
- 2θ = 20.4°, I 1000
- 2θ = 23.3°, I 793
- 2θ = 24.6°, I 720
- 2θ = 26.0°, I 896
- 2θ = 26.2°, I 564
- 2θ = 27.5°, I 720

---

Computed powder diffractogram
Compound: CsCOF3
Radiation: a wavelength of 1.5418 Å
Structure: a structure optimized by DFT (PBE)

Unit cell a=6.078 b=7.905 c=9.631 alpha=90.00 beta=90.80 gamma=90.00
Space group P2_1/c (No. 14)
One atom of each set of equivalent atoms:
1 Cs 0.232 0.158 0.179
2 C 0.233 0.705 0.067
3 O 0.067 0.708 0.583
4 F 0.258 0.622 0.937
5 F 0.268 0.568 0.165
6 F 0.444 0.705 0.580

Principal peaks in the range 5 to 70 degrees two-theta, in order of rising 2θ:
- 2θ = 18.4°, I 783
- 2θ = 23.4°, I 659
- 2θ = 23.7°, I 876
- 2θ = 24.3°, I 1000
- 2θ = 26.0°, I 757
- 2θ = 28.6°, I 472
- 2θ = 29.4°, I 632
- 2θ = 38.4°, I 880

---

Computed powder diffractogram
Compound: CsCSO3F3
Radiation: a wavelength of 1.5418 Å
Structure: a structure optimized by DFT (PBE)

Unit cell a=5.585 b=6.243 c=9.995 alpha=90.00 beta=104.86 gamma=90.00
Space group P2_1 (No. 4)
One atom of each set of equivalent atoms:
1 Cs 0.050 0.000 0.165
2 C 0.349 0.064 0.634
3 S 0.407 0.965 0.816
4 O 0.176 0.014 0.854
5 O 0.378 0.590 0.111
6 O 0.452 0.736 0.803
7 F 0.152 0.963 0.549
8 F 0.301 0.278 0.628
9 F 0.450 0.530 0.416

Principal peaks in the range 5 to 70 degrees two-theta, in order of rising 2θ:
- 2θ = 9.2°, I 498
- 2θ = 21.9°, I 903
- 2θ = 23.3°, I 474
- 2θ = 25.3°, I 1000
- 2θ = 25.7°, I 800
- 2θ = 27.7°, I 653
- 2θ = 28.6°, I 541
- 2θ = 40.2°, I 420

---

Computed powder diffractogram
Compound: Cs2Sb2C4O9F4
Radiation: a wavelength of 1.5418 Å
Structure: a structure optimized by DFT (PBE)

Unit cell a=8.705 b=8.784 c=11.584 alpha=77.51 beta=77.69 gamma=64.88
Space group P-1 (No. 2)
One atom of each set of equivalent atoms:
1 Cs 0.101 0.100 0.308
2 Cs 0.108 0.669 0.122
3 Sb 0.337 0.390 0.698
4 Sb 0.403 0.848 0.806
5 C 0.349 0.282 0.974
6 C 0.377 0.346 0.422
7 C 0.438 0.770 0.546
8 C 0.464 0.817 0.079
9 O 0.028 0.748 0.421
10 O 0.241 0.362 0.899
11 O 0.274 0.438 0.500
12 O 0.313 0.278 0.085
13 O 0.324 0.834 0.632
14 O 0.347 0.342 0.322
15 O 0.350 0.889 0.010
16 O 0.411 0.792 0.440
17 O 0.434 0.819 0.191
18 F 0.085 0.538 0.713
19 F 0.147 0.925 0.846
20 F 0.272 0.198 0.708
21 F 0.408 0.620 0.873

Principal peaks in the range 5 to 70 degrees two-theta, in order of rising 2θ:
- 2θ = 15.8°, I 543
- 2θ = 17.5°, I 664
- 2θ = 20.5°, I 530
- 2θ = 22.9°, I 780
- 2θ = 23.1°, I 484
- 2θ = 24.9°, I 1000
- 2θ = 25.2°, I 467
- 2θ = 30.6°, I 655

---

Computed powder diffractogram
Compound: Cs2MgFeC6N6
Radiation: a wavelength of 1.5418 Å
Structure: a structure optimized by DFT (PBE)

Unit cell a=10.475 b=10.475 c=10.475 alpha=90.00 beta=90.00 gamma=90.00
Space group Fm-3m (No. 225)
One atom of each set of equivalent atoms:
1 Cs 0.250 0.250 0.250
2 Mg 0.000 0.000 0.000
3 Fe 0.000 0.000 0.500
4 C 0.000 0.000 0.320
5 N 0.000 0.000 0.208

Principal peaks in the range 5 to 70 degrees two-theta, in order of rising 2θ:
- 2θ = 24.0°, I 1000
- 2θ = 29.5°, I 332
- 2θ = 34.2°, I 402
- 2θ = 38.4°, I 136
- 2θ = 42.3°, I 350
- 2θ = 49.2°, I 222
- 2θ = 55.5°, I 261
- 2θ = 66.8°, I 249